Theoretical X-ray powder pattern
Compound: AlAgBr4
Radiation: a wavelength of 1.5418 Å
Structure: a structure optimized by DFT (PBE)
No peak broadening, texture or thermal motion is included.

Cell and atoms:
Cell: 6.352 6.352 10.692 Å, 90.00 90.00 90.00°
Fractional coordinates of all 12 atoms:
Al  0.000  0.500  0.250
Al  0.500  0.000  0.750
Ag  0.000  0.000  0.000
Ag  0.000  0.000  0.500
Br  0.226  0.293  0.371
Br  0.226  0.707  0.129
Br  0.293  0.226  0.871
Br  0.293  0.774  0.629
Br  0.707  0.226  0.629
Br  0.707  0.774  0.871
Br  0.774  0.293  0.129
Br  0.774  0.707  0.371

Top 8 peaks for 10° ≤ 2θ ≤ 80°, in order of rising 2θ:
- 13.94°, intensity 16
- 16.23°, intensity 16
- 21.73°, intensity 17
- 25.91°, intensity 100
- 40.16°, intensity 21
- 44.29°, intensity 37
- 48.41°, intensity 25
- 55.48°, intensity 11



Theoretical X-ray powder pattern
Compound: HfHgB4
Radiation: a wavelength of 1.5418 Å
Structure: a structure optimized by DFT (PBE)
No peak broadening, texture or thermal motion is included.

Cell and atoms:
Cell: 3.132 3.132 8.252 Å, 90.00 90.00 120.00°
Fractional coordinates of all 6 atoms:
Hf  0.000  0.000  0.000
Hg  0.000  0.000  0.500
B  0.333  0.667  0.203
B  0.333  0.667  0.797
B  0.667  0.333  0.203
B  0.667  0.333  0.797

Top 8 peaks for 10° ≤ 2θ ≤ 80°, in order of rising 2θ:
- 21.54°, intensity 61
- 33.02°, intensity 70
- 39.77°, intensity 100
- 56.00°, intensity 34
- 58.98°, intensity 17
- 63.54°, intensity 21
- 73.50°, intensity 17
- 76.34°, intensity 15



Theoretical X-ray powder pattern
Compound: SrZnCdGa2
Radiation: a wavelength of 1.5418 Å
Structure: a structure optimized by DFT (PBE)
No peak broadening, texture or thermal motion is included.

Cell and atoms:
Cell: 6.410 6.410 6.410 Å, 139.42 139.42 58.73°
Fractional coordinates of all 5 atoms:
Sr  0.000  0.000  0.000
Zn  0.250  0.750  0.500
Cd  0.750  0.250  0.500
Ga  0.387  0.387  0.000
Ga  0.613  0.613  0.000

Top 8 peaks for 10° ≤ 2θ ≤ 80°, in order of rising 2θ:
- 31.33°, intensity 37
- 32.69°, intensity 100
- 40.58°, intensity 55
- 43.33°, intensity 29
- 45.43°, intensity 23
- 58.74°, intensity 18
- 62.53°, intensity 17
- 68.87°, intensity 22



Theoretical X-ray powder pattern
Compound: LaNd2GdZn12Ge6
Radiation: a wavelength of 1.5418 Å
Structure: a structure optimized by DFT (PBE)
No peak broadening, texture or thermal motion is included.

Cell and atoms:
Cell: 7.668 4.099 13.284 Å, 90.00 90.01 90.00°
Fractional coordinates of all 22 atoms:
La  0.000  0.000  0.000
Nd  0.000  0.000  0.335
Nd  0.501  0.000  0.501
Gd  0.501  0.000  0.833
Zn  0.145  0.500  0.523
Zn  0.145  0.500  0.811
Zn  0.190  0.000  0.669
Zn  0.213  0.500  0.167
Zn  0.405  0.000  0.262
Zn  0.409  0.000  0.071
Zn  0.644  0.500  0.022
Zn  0.644  0.500  0.312
Zn  0.689  0.000  0.168
Zn  0.710  0.500  0.667
Zn  0.902  0.000  0.761
Zn  0.906  0.000  0.573
Ge  0.309  0.500  0.359
Ge  0.313  0.500  0.974
Ge  0.384  0.500  0.669
Ge  0.805  0.500  0.857
Ge  0.809  0.500  0.476
Ge  0.882  0.500  0.168

Top 8 peaks for 10° ≤ 2θ ≤ 80°, in order of rising 2θ:
- 31.96°, intensity 100
- 34.77°, intensity 14
- 35.77°, intensity 22
- 40.76°, intensity 33
- 42.22°, intensity 52
- 44.19°, intensity 24
- 61.68°, intensity 19
- 68.69°, intensity 21



Theoretical X-ray powder pattern
Compound: ZrTcTe2As2
Radiation: a wavelength of 1.5418 Å
Structure: a structure optimized by DFT (PBE)
No peak broadening, texture or thermal motion is included.

Cell and atoms:
Cell: 7.268 7.268 7.268 Å, 150.01 136.50 53.74°
Fractional coordinates of all 6 atoms:
Zr  0.000  0.000  0.000
Tc  0.773  0.773  0.000
Te  0.178  0.678  0.500
Te  0.605  0.105  0.500
As  0.112  0.371  0.741
As  0.630  0.371  0.259

Top 8 peaks for 10° ≤ 2θ ≤ 80°, in order of rising 2θ:
- 31.53°, intensity 100
- 32.14°, intensity 64
- 36.11°, intensity 49
- 38.53°, intensity 53
- 40.37°, intensity 70
- 41.84°, intensity 69
- 48.40°, intensity 31
- 79.65°, intensity 27



Theoretical X-ray powder pattern
Compound: TlAg3WSe4
Radiation: a wavelength of 1.5418 Å
Structure: a structure optimized by DFT (PBE)
No peak broadening, texture or thermal motion is included.

Cell and atoms:
Cell: 6.413 6.413 6.413 Å, 90.00 90.00 90.00°
Fractional coordinates of all 9 atoms:
Tl  0.000  0.000  0.000
Ag  0.000  0.500  0.500
Ag  0.500  0.000  0.500
Ag  0.500  0.500  0.000
W  0.500  0.500  0.500
Se  0.278  0.278  0.278
Se  0.278  0.722  0.722
Se  0.722  0.278  0.722
Se  0.722  0.722  0.278

Top 8 peaks for 10° ≤ 2θ ≤ 80°, in order of rising 2θ:
- 19.58°, intensity 46
- 24.04°, intensity 56
- 27.83°, intensity 23
- 34.25°, intensity 24
- 39.76°, intensity 100
- 47.00°, intensity 25
- 53.46°, intensity 17
- 72.17°, intensity 29



Which formula does entry 1 have? AlAgBr4